Diffraction record for Cs6Au4O. The PXRD pattern is simulated, not measured: it uses a structure optimized by DFT (PBE) and copper Kα.
Lines closer than 0.1° are merged.

Largest 10 diffraction maxima, in order of falling intensity, 2θ from 10° to 90°:
| 2θ/deg | Rel. int. |
| --- | --- |
| 29.54 | 100 |
| 26.82 | 49 |
| 30.33 | 35 |
| 21.73 | 34 |
| 27.96 | 30 |
| 33.58 | 27 |
| 38.05 | 24 |
| 53.59 | 21 |
| 19.64 | 19 |
| 56.77 | 18 |

Cell and atoms:
```
data_Cs6Au4O
_chemical_formula_sum 'Cs12 Au8 O2'
_cell_length_a 10.045
_cell_length_b 10.045
_cell_length_c 10.045
_cell_angle_alpha 89.06
_cell_angle_beta 89.06
_cell_angle_gamma 89.06
_symmetry_space_group_name_H-M 'P 1'
_symmetry_Int_Tables_number 1
loop_
_symmetry_equiv_pos_as_xyz
'x,y,z'
loop_
_atom_site_label
_atom_site_type_symbol
_atom_site_fract_x
_atom_site_fract_y
_atom_site_fract_z
Cs1 Cs 0.057 0.933 0.722
Cs2 Cs 0.067 0.278 0.943
Cs3 Cs 0.222 0.433 0.557
Cs4 Cs 0.278 0.943 0.067
Cs5 Cs 0.433 0.557 0.222
Cs6 Cs 0.443 0.778 0.567
Cs7 Cs 0.557 0.222 0.433
Cs8 Cs 0.567 0.443 0.778
Cs9 Cs 0.722 0.057 0.933
Cs10 Cs 0.778 0.567 0.443
Cs11 Cs 0.933 0.722 0.057
Cs12 Cs 0.943 0.067 0.278
Au1 Au 0.128 0.750 0.372
Au2 Au 0.250 0.250 0.250
Au3 Au 0.250 0.628 0.872
Au4 Au 0.372 0.128 0.750
Au5 Au 0.628 0.872 0.250
Au6 Au 0.750 0.372 0.128
Au7 Au 0.750 0.750 0.750
Au8 Au 0.872 0.250 0.628
O1 O 0.000 0.000 0.000
O2 O 0.500 0.500 0.500
```